# 1
This entry pairs a crystal structure of P2Rh3Pb2 with its calculated powder XRD pattern. Radiation: a wavelength of 1.5418 Å. Structure: a cell relaxed with PBE.

Principal peaks in the range 2θ from 10° to 80°, low angle first:
19.84°, I = 94; 32.11°, I = 80; 34.56°, I = 36; 35.17°, I = 96; 39.08°, I = 43; 40.28°, I = 100; 40.74°, I = 88; 64.23°, I = 33

Structure:
```
P2Rh3Pb2
1.0
6.512 0.000 0.000
0.000 12.323 0.000
0.000 0.000 3.186
P Rh Pb
4 6 4
Direct
0.126 0.145 0.000 P
0.374 0.645 0.000 P
0.626 0.355 0.000 P
0.874 0.855 0.000 P
0.000 0.000 0.500 Rh
0.081 0.767 0.500 Rh
0.419 0.267 0.500 Rh
0.500 0.500 0.500 Rh
0.581 0.733 0.500 Rh
0.919 0.233 0.500 Rh
0.145 0.401 0.000 Pb
0.355 0.901 0.000 Pb
0.645 0.099 0.000 Pb
0.855 0.599 0.000 Pb
```


# 2
This entry pairs a crystal structure of Tb6HgTe3 with its calculated powder XRD pattern. Radiation: a wavelength of 1.5418 Å. Structure: a cell relaxed with PBE.

Principal peaks in the range 2θ from 10° to 80°, low angle first:
26.35°, I = 51; 28.69°, I = 77; 29.00°, I = 52; 30.18°, I = 58; 31.77°, I = 75; 32.21°, I = 94; 36.72°, I = 100; 44.92°, I = 63

Structure:
```
Tb6HgTe3
1.0
12.173 0.000 0.000
0.000 4.036 0.000
-3.153 0.000 12.428
Tb Hg Te
12 2 6
Direct
0.013 0.250 0.350 Tb
0.085 0.250 0.889 Tb
0.251 0.750 0.298 Tb
0.290 0.750 0.756 Tb
0.384 0.250 0.535 Tb
0.441 0.750 0.124 Tb
0.559 0.250 0.876 Tb
0.616 0.750 0.465 Tb
0.710 0.250 0.244 Tb
0.749 0.250 0.702 Tb
0.915 0.750 0.111 Tb
0.987 0.750 0.650 Tb
0.459 0.250 0.312 Hg
0.541 0.750 0.688 Hg
0.110 0.250 0.139 Te
0.170 0.750 0.511 Te
0.341 0.250 0.946 Te
0.659 0.750 0.054 Te
0.830 0.250 0.489 Te
0.890 0.750 0.861 Te
```


# 3
This entry pairs a crystal structure of RuCSeN with its calculated powder XRD pattern. Radiation: a wavelength of 1.5418 Å. Structure: a cell relaxed with PBE.

Principal peaks in the range 2θ from 10° to 80°, low angle first:
13.97°, I = 100; 30.41°, I = 33; 32.45°, I = 23; 33.13°, I = 25; 35.48°, I = 19; 45.07°, I = 23; 47.05°, I = 22; 54.71°, I = 13

Structure:
```
RuCSeN
1.0
3.785 0.000 0.000
0.000 2.759 0.000
-1.360 0.000 6.341
Ru C Se N
1 1 1 1
Direct
0.000 0.000 0.000 Ru
0.383 0.500 0.110 C
0.369 0.000 0.712 Se
0.722 0.500 0.148 N
```


# 4
This entry pairs a crystal structure of Cu2SBr with its calculated powder XRD pattern. Radiation: a wavelength of 1.5418 Å. Structure: a cell relaxed with PBE.

Principal peaks in the range 2θ from 10° to 80°, low angle first:
22.08°, I = 42; 25.96°, I = 35; 26.83°, I = 100; 27.09°, I = 58; 31.69°, I = 31; 46.39°, I = 32; 47.92°, I = 34; 49.80°, I = 30

Structure:
```
Cu2SBr
1.0
6.865 0.000 0.000
0.000 6.584 0.000
-0.023 0.000 7.593
Cu S Br
8 4 4
Direct
0.130 0.113 0.254 Cu
0.130 0.387 0.754 Cu
0.296 0.674 0.510 Cu
0.296 0.826 0.010 Cu
0.704 0.174 0.990 Cu
0.704 0.326 0.490 Cu
0.870 0.613 0.246 Cu
0.870 0.887 0.746 Cu
0.151 0.724 0.767 S
0.151 0.776 0.267 S
0.849 0.224 0.733 S
0.849 0.276 0.233 S
0.342 0.233 0.991 Br
0.342 0.267 0.491 Br
0.658 0.733 0.509 Br
0.658 0.767 0.009 Br
```


# 5
This entry pairs a crystal structure of Th2TiGe3Rh4 with its calculated powder XRD pattern. Radiation: a wavelength of 1.5418 Å. Structure: a cell relaxed with PBE.

Principal peaks in the range 2θ from 10° to 80°, low angle first:
30.16°, I = 24; 33.19°, I = 71; 34.69°, I = 100; 43.17°, I = 53; 48.16°, I = 34; 55.52°, I = 33; 66.65°, I = 26; 73.69°, I = 22

Structure:
```
Th2TiGe3Rh4
1.0
4.191 0.000 0.000
0.000 4.191 0.000
0.000 0.000 10.584
Th Ti Ge Rh
2 1 3 4
Direct
0.000 0.500 0.246 Th
0.500 0.000 0.754 Th
0.000 0.000 0.500 Ti
0.000 0.500 0.871 Ge
0.500 0.000 0.129 Ge
0.500 0.500 0.500 Ge
0.000 0.000 0.000 Rh
0.000 0.500 0.638 Rh
0.500 0.000 0.362 Rh
0.500 0.500 0.000 Rh
```


# 6
This entry pairs a crystal structure of NaAuCl4 with its calculated powder XRD pattern. Radiation: a wavelength of 1.5418 Å. Structure: a cell relaxed with PBE.

Principal peaks in the range 2θ from 10° to 80°, low angle first:
14.10°, I = 40; 17.69°, I = 81; 22.69°, I = 100; 29.00°, I = 24; 35.81°, I = 22; 38.19°, I = 23; 38.36°, I = 23; 42.67°, I = 21

Structure:
```
NaAuCl4
1.0
-3.529 3.563 6.283
3.529 -3.563 6.283
3.529 3.563 -6.283
Na Au Cl
2 2 8
Direct
0.250 0.250 0.000 Na
0.750 0.750 0.000 Na
0.000 0.500 0.500 Au
0.500 0.000 0.500 Au
0.037 0.539 0.834 Cl
0.205 0.039 0.502 Cl
0.295 0.797 0.834 Cl
0.463 0.297 0.502 Cl
0.537 0.703 0.498 Cl
0.705 0.203 0.166 Cl
0.795 0.961 0.498 Cl
0.963 0.461 0.166 Cl
```